Record 1
# CeCr2S4
Calculated XRD peak list, Cu Kα X-rays. Input: a structure optimized by DFT (GGA-PBE).
No peak broadening, texture or thermal motion is included.

Cell and atoms:
```
data_CeCr2S4
_cell_length_a 6.117
_cell_length_b 3.648
_cell_length_c 6.429
_cell_angle_alpha 90.00
_cell_angle_beta 108.31
_cell_angle_gamma 90.00
_symmetry_space_group_name_H-M 'P 1 2/m 1'
_symmetry_Int_Tables_number 10
_symmetry_space_group_name_Hall '-P 2y'
loop_
_atom_site_label
_atom_site_fract_x
_atom_site_fract_y
_atom_site_fract_z
Ce1 0.000 0.000 0.000
Cr1 0.000 0.500 0.500
Cr2 0.500 0.000 0.500
S1 0.240 0.000 0.706
S2 0.274 0.500 0.294
```

Top 12 peaks for 10° ≤ 2θ ≤ 90°, most intense first:
2θ (°), intensity
34.7, 1000
15.3, 482
35.3, 477
17.5, 396
28.5, 366
51.3, 362
49.3, 302
24.2, 184
24.4, 176
50.0, 173
62.7, 161
49.7, 144

Record 2
# SbSe5
Calculated XRD peak list, Cu Kα X-rays. Input: a structure optimized by DFT (GGA-PBE).
No peak broadening, texture or thermal motion is included.

Cell and atoms:
```
data_SbSe5
_cell_length_a 11.107
_cell_length_b 3.602
_cell_length_c 9.023
_cell_angle_alpha 90.00
_cell_angle_beta 93.91
_cell_angle_gamma 90.00
_symmetry_space_group_name_H-M 'C 1 m 1'
_symmetry_Int_Tables_number 8
_symmetry_space_group_name_Hall 'C -2y'
loop_
_atom_site_label
_atom_site_fract_x
_atom_site_fract_y
_atom_site_fract_z
Sb1 0.000 0.000 0.000
Se1 0.063 0.500 0.412
Se2 0.176 0.500 0.004
Se3 0.361 0.000 0.754
Se4 0.403 0.000 0.232
Se5 0.463 0.500 0.604
```

Top 12 peaks for 10° ≤ 2θ ≤ 90°, most intense first:
2θ (°), intensity
16.0, 1000
32.5, 994
39.4, 633
26.3, 629
34.8, 592
35.8, 502
50.7, 420
24.6, 310
40.4, 283
33.2, 259
28.1, 258
55.5, 197

Record 3
# ErTm2ScRh4
Calculated XRD peak list, Cu Kα X-rays. Input: a structure optimized by DFT (GGA-PBE).
No peak broadening, texture or thermal motion is included.

Cell and atoms:
```
data_ErTm2ScRh4
_cell_length_a 4.7306
_cell_length_b 4.7306
_cell_length_c 23.2057
_cell_angle_alpha 90.00
_cell_angle_beta 90.00
_cell_angle_gamma 120.00
_symmetry_space_group_name_H-M 'R -3 m'
_symmetry_Int_Tables_number 166
_symmetry_space_group_name_Hall '-R 3 2"'
loop_
_atom_site_label
_atom_site_fract_x
_atom_site_fract_y
_atom_site_fract_z
Er1 0.0000 0.0000 0.0000
Tm1 0.0000 0.0000 0.2483
Sc1 0.0000 0.0000 0.5000
Rh1 0.0000 0.0000 0.1267
Rh2 0.0000 0.0000 0.3772
```

Top 12 peaks for 10° ≤ 2θ ≤ 90°, most intense first:
2θ (°), intensity
38.0, 1000
68.7, 343
54.9, 171
81.3, 107
23.0, 40
22.0, 30
11.4, 28
29.1, 27
44.9, 22
26.6, 19
34.8, 13
52.5, 10

Record 4
# ThAl8Fe4
Calculated XRD peak list, Cu Kα X-rays. Input: a structure optimized by DFT (GGA-PBE).
No peak broadening, texture or thermal motion is included.

Cell and atoms:
```
data_ThAl8Fe4
_cell_length_a 8.791
_cell_length_b 8.791
_cell_length_c 5.038
_cell_angle_alpha 90.00
_cell_angle_beta 90.00
_cell_angle_gamma 90.00
_symmetry_space_group_name_H-M 'I 4/m m m'
_symmetry_Int_Tables_number 139
_symmetry_space_group_name_Hall '-I 4 2'
loop_
_atom_site_label
_atom_site_fract_x
_atom_site_fract_y
_atom_site_fract_z
Th1 0.000 0.000 0.000
Al1 0.000 0.224 0.500
Al2 0.000 0.346 0.000
Fe1 0.250 0.250 0.250
```

Top 12 peaks for 10° ≤ 2θ ≤ 90°, most intense first:
2θ (°), intensity
41.1, 1000
28.8, 967
41.3, 631
14.2, 525
20.3, 509
35.4, 357
32.2, 263
59.7, 256
67.4, 180
59.5, 171
48.8, 170
55.3, 144

Record 5
# Li3Pd3Au2
Calculated XRD peak list, Cu Kα X-rays. Input: a structure optimized by DFT (GGA-PBE).
No peak broadening, texture or thermal motion is included.

Cell and atoms:
```
data_Li3Pd3Au2
_cell_length_a 7.0420
_cell_length_b 7.0420
_cell_length_c 8.4696
_cell_angle_alpha 90.00
_cell_angle_beta 90.00
_cell_angle_gamma 120.00
_symmetry_space_group_name_H-M 'R 3 2'
_symmetry_Int_Tables_number 155
_symmetry_space_group_name_Hall 'R 3 2"'
loop_
_atom_site_label
_atom_site_fract_x
_atom_site_fract_y
_atom_site_fract_z
Li1 0.0000 0.7357 0.0000
Pd1 0.0000 0.2435 0.5000
Au1 0.0000 0.0000 0.2363
```

Top 12 peaks for 10° ≤ 2θ ≤ 90°, most intense first:
2θ (°), intensity
44.8, 1000
25.3, 902
36.3, 738
25.6, 504
44.6, 390
45.3, 384
40.6, 324
70.8, 238
31.7, 237
70.9, 236
41.0, 198
72.1, 191

Record 6
# CoBSCl2
Calculated XRD peak list, Cu Kα X-rays. Input: a structure optimized by DFT (GGA-PBE).
No peak broadening, texture or thermal motion is included.

Cell and atoms:
```
data_CoBSCl2
_cell_length_a 4.760
_cell_length_b 4.760
_cell_length_c 4.255
_cell_angle_alpha 90.00
_cell_angle_beta 90.00
_cell_angle_gamma 90.00
_symmetry_space_group_name_H-M 'P 4/m m m'
_symmetry_Int_Tables_number 123
_symmetry_space_group_name_Hall '-P 4 2'
loop_
_atom_site_label
_atom_site_fract_x
_atom_site_fract_y
_atom_site_fract_z
Co1 0.000 0.000 0.000
B1 0.500 0.500 0.500
S1 0.000 0.000 0.500
Cl1 0.000 0.500 0.000
```

Top 12 peaks for 10° ≤ 2θ ≤ 90°, most intense first:
2θ (°), intensity
18.6, 1000
37.8, 619
42.5, 435
20.9, 429
58.2, 345
43.6, 227
71.5, 201
54.5, 189
46.8, 165
61.6, 146
34.0, 142
28.1, 129